Structure and simulated X-ray diffraction stick pattern of SrCo2SbN (a DFT-relaxed cell (GGA-PBE, Alexandria); Cu Kα X-rays).

Peak list (8 most intense, 10 to 90 degrees two-theta, by intensity)
(1 3 1), 34.36°, I = 1000
(1 1 2), 34.69°, I = 692
(0 4 1), 33.48°, I = 389
(2 0 0), 44.06°, I = 359
(1 1 3), 45.65°, I = 350
(0 4 2), 40.52°, I = 283
(1 7 0), 60.19°, I = 198
(2 4 1), 56.45°, I = 169

Cell and atoms:
```
data_SrCo2SbN
_cell_length_a 4.110
_cell_length_b 11.604
_cell_length_c 6.945
_cell_angle_alpha 90.00
_cell_angle_beta 90.00
_cell_angle_gamma 90.00
_symmetry_space_group_name_H-M 'C m c m'
_symmetry_Int_Tables_number 63
_symmetry_space_group_name_Hall '-C 2c 2'
loop_
_atom_site_label
_atom_site_type_symbol
_atom_site_fract_x
_atom_site_fract_y
_atom_site_fract_z
_atom_site_occupancy
Sr1 Sr 0.000 0.052 0.250 1
Co1 Co 0.000 0.356 0.061 1
Sb1 Sb 0.000 0.227 0.750 1
N1 N 0.000 0.500 0.000 1
```